# GaN
Theoretical PXRD pattern, Cu Ka. Input: DFT lattice parameters and positions (GGA-PBE).
Neutral-atom scattering factors, no anomalous dispersion.

The 10 most intense peaks (15° ≤ 2θ ≤ 90°), low angle first:
(1 0 0), 32.14°, I 43
(0 0 2), 34.22°, I 36
(1 0 1), 36.53°, I 100
(1 0 2), 47.65°, I 21
(1 1 0), 57.29°, I 30
(1 0 3), 62.79°, I 31
(2 0 0), 67.22°, I 4
(1 1 2), 68.46°, I 27
(2 0 1), 69.89°, I 15
(2 0 2), 77.64°, I 5

Atomic structure:
```
data_GaN
_chemical_formula_sum 'Ga2 N2'
_cell_length_a 3.2163
_cell_length_b 3.2163
_cell_length_c 5.2400
_cell_angle_alpha 90.00
_cell_angle_beta 90.00
_cell_angle_gamma 120.00
_space_group_name_H-M_alt 'P 1'
_space_group_IT_number 1
loop_
_space_group_symop_operation_xyz
'x,y,z'
loop_
_atom_site_label
_atom_site_type_symbol
_atom_site_fract_x
_atom_site_fract_y
_atom_site_fract_z
Ga1 Ga 0.3333 0.6667 0.0000
Ga2 Ga 0.6667 0.3333 0.5000
N1 N 0.3333 0.6667 0.3768
N2 N 0.6667 0.3333 0.8768
```